1.
The following is a simulated powder X-ray diffraction pattern of BeS3. It was derived from the PBE geometry in Alexandria, using λ = 1.5418 Å (Cu Kα).

Principal peaks in the range 15 to 90 degrees two-theta, most intense first:
d (Å)  2θ (°)  Rel. int.
4.161  21.35  100
3.962  22.44  38
3.263  27.33  38
2.648  33.85  23
2.423  37.10  23
1.786  51.14  17
1.768  51.71  16
3.943  22.55  15
4.087  21.74  15
1.633  56.36  12

Crystal structure
```
BeS3
1.0
8.138 0.000 0.000
0.000 3.572 0.000
-1.946 0.000 8.322
Be S
2 6
direct
0.069 0.250 0.481
0.931 0.750 0.519
0.184 0.750 0.520
0.192 0.250 0.981
0.319 0.750 0.054
0.681 0.250 0.946
0.808 0.750 0.019
0.816 0.250 0.480
```



2.
The following is a simulated powder X-ray diffraction pattern of Be3S. It was derived from the PBE geometry in Alexandria, using λ = 1.5418 Å (Cu Kα).

Principal peaks in the range 15 to 90 degrees two-theta, most intense first:
d (Å)  2θ (°)  Rel. int.
3.209  27.80  100
2.890  30.94  61
1.830  49.82  60
3.859  23.05  27
1.363  68.87  22
2.228  40.49  22
1.765  51.81  19
1.724  53.13  13
1.414  66.07  13
1.605  57.42  13

Crystal structure
```
Be3S
1.0
4.456 0.000 0.000
-2.228 3.859 0.000
0.000 0.000 5.780
Be S
6 2
direct
0.166 0.332 0.250
0.166 0.834 0.250
0.332 0.166 0.750
0.668 0.834 0.250
0.834 0.166 0.750
0.834 0.668 0.750
0.333 0.667 0.750
0.667 0.333 0.250
```



3.
The following is a simulated powder X-ray diffraction pattern of BeSnS. It was derived from the PBE geometry in Alexandria, using λ = 1.5418 Å (Cu Kα).

Principal peaks in the range 15 to 90 degrees two-theta, most intense first:
d (Å)  2θ (°)  Rel. int.
4.154  21.39  100
2.800  31.97  59
3.302  27.00  54
2.479  36.24  51
2.767  32.35  40
3.285  27.14  38
2.510  35.77  36
2.039  44.42  27
2.527  35.53  27
1.875  48.57  26

Crystal structure
```
BeSnS
1.0
4.163 -1.547 0.000
4.163 1.547 0.000
-0.617 0.000 9.906
Be Sn S
2 2 2
direct
0.000 0.000 0.000
0.569 0.569 0.840
0.287 0.287 0.751
0.731 0.731 0.091
0.697 0.697 0.504
0.843 0.843 0.356
```



4.
The following is a simulated powder X-ray diffraction pattern of UBeTl2S5. It was derived from the PBE geometry in Alexandria, using λ = 1.5418 Å (Cu Kα).

Principal peaks in the range 15 to 90 degrees two-theta, most intense first:
d (Å)  2θ (°)  Rel. int.
2.939  30.41  100
4.058  21.90  87
5.416  16.37  46
2.102  43.03  44
2.456  36.59  43
3.840  23.16  39
4.209  21.11  37
2.883  31.02  28
1.770  51.65  26
2.086  43.37  20

Crystal structure
```
UBeTl2S5
1.0
3.934 0.000 0.000
0.000 13.699 0.000
-1.956 0.000 8.846
U Be Tl S
2 2 4 10
direct
0.197 0.000 0.391
0.803 0.500 0.609
0.426 0.397 0.860
0.574 0.897 0.140
0.100 0.656 0.198
0.109 0.312 0.222
0.891 0.812 0.778
0.900 0.156 0.802
0.054 0.981 0.103
0.301 0.623 0.606
0.309 0.371 0.622
0.333 0.987 0.664
0.488 0.272 0.981
0.512 0.772 0.019
0.667 0.487 0.336
0.691 0.871 0.378
0.699 0.123 0.394
0.946 0.481 0.897
```



5.
The following is a simulated powder X-ray diffraction pattern of TmBeS. It was derived from the PBE geometry in Alexandria, using λ = 1.5418 Å (Cu Kα).

Principal peaks in the range 15 to 90 degrees two-theta, most intense first:
d (Å)  2θ (°)  Rel. int.
3.679  24.19  100
2.382  37.77  52
2.156  41.91  43
3.608  24.68  40
1.851  49.24  37
2.827  31.64  23
2.191  41.20  18
1.860  48.97  15
1.598  57.68  15
1.284  73.81  14

Crystal structure
```
TmBeS
1.0
2.156 1.245 7.215
-2.156 1.245 7.215
0.000 -2.489 7.215
Tm Be S
2 2 2
direct
0.077 0.077 0.077
0.923 0.923 0.923
0.324 0.324 0.324
0.676 0.676 0.676
0.219 0.219 0.219
0.781 0.781 0.781
```



6.
The following is a simulated powder X-ray diffraction pattern of Y6BeS5. It was derived from the PBE geometry in Alexandria, using λ = 1.5418 Å (Cu Kα).

Principal peaks in the range 15 to 90 degrees two-theta, most intense first:
d (Å)  2θ (°)  Rel. int.
2.784  32.15  100
1.967  46.16  46
3.217  27.73  39
1.972  46.02  23
1.244  76.56  14
3.207  27.82  13
1.679  54.67  12
1.607  57.32  12
1.392  67.26  10
1.247  76.38  10

Crystal structure
```
Y6BeS5
1.0
3.418 -5.904 0.000
3.418 5.904 0.000
-2.274 0.000 6.415
Y Be S
6 1 5
direct
0.081 0.405 0.743
0.242 0.242 0.255
0.405 0.081 0.743
0.595 0.919 0.257
0.758 0.758 0.745
0.919 0.595 0.257
0.000 0.000 0.500
0.171 0.829 0.000
0.334 0.666 0.500
0.500 0.500 0.000
0.666 0.334 0.500
0.829 0.171 0.000
```



7.
The following is a simulated powder X-ray diffraction pattern of BeSb8. It was derived from the PBE geometry in Alexandria, using λ = 1.5418 Å (Cu Kα).

Principal peaks in the range 15 to 90 degrees two-theta, most intense first:
d (Å)  2θ (°)  Rel. int.
2.660  33.70  100
2.737  32.72  42
1.961  46.30  25
1.625  56.64  16
2.992  29.86  16
2.903  30.80  15
3.491  25.51  14
1.521  60.89  14
1.565  59.03  14
2.277  39.58  13

Crystal structure
```
BeSb8
1.0
-5.806 5.806 1.830
5.806 -5.806 1.830
5.806 5.806 -1.830
Be Sb
1 8
direct
0.000 0.000 0.000
0.000 0.345 0.345
0.000 0.655 0.655
0.345 0.000 0.345
0.372 0.372 0.743
0.372 0.628 0.000
0.628 0.372 0.000
0.628 0.628 0.257
0.655 0.000 0.655
```



8.
The following is a simulated powder X-ray diffraction pattern of Be7Sb6. It was derived from the PBE geometry in Alexandria, using λ = 1.5418 Å (Cu Kα).

Principal peaks in the range 15 to 90 degrees two-theta, most intense first:
d (Å)  2θ (°)  Rel. int.
3.289  27.11  100
2.133  42.38  45
3.190  27.97  44
2.880  31.05  21
2.160  41.82  18
1.789  51.04  18
1.802  50.64  18
1.499  61.89  14
2.583  34.73  14
1.371  68.44  14

Crystal structure
```
Be7Sb6
1.0
2.133 1.231 16.862
-2.133 1.231 16.862
0.000 -2.463 16.862
Be Sb
7 6
direct
0.000 0.000 0.000
0.095 0.095 0.599
0.095 0.599 0.095
0.401 0.905 0.905
0.599 0.095 0.095
0.905 0.401 0.905
0.905 0.905 0.401
0.151 0.151 0.151
0.310 0.310 0.310
0.431 0.431 0.431
0.569 0.569 0.569
0.690 0.690 0.690
0.849 0.849 0.849
```